Entry 1:
Structure and calculated PXRD pattern of YZrCS (a cell relaxed with GGA-PBE; λ = 1.5418 Å (Cu Kα)).

Peak list (10 most intense, 2θ from 10° to 90°, by angle)
2θ (°), I_rel, hkl
28.22, 131, 0 0 4
29.11, 276, 1 0 0
29.98, 240, 1 0 1
36.21, 1000, 1 0 3
40.99, 116, 1 0 4
51.61, 283, 1 1 0
59.36, 126, 1 0 7
64.67, 172, 2 0 3
69.29, 114, 1 1 6
87.20, 152, 2 1 3

a = 3.5418 Å, b = 3.5418 Å, c = 12.6498 Å
α = 90.00°, β = 90.00°, γ = 120.00°
Space group P6_3mc (No. 186)
Unique sites:
Y: 0.3333 0.6667 0.0000 x2
Zr: 0.3333 0.6667 0.7058 x2
C: 0.0000 0.0000 0.1138 x2
S: 0.3333 0.6667 0.3458 x2

---

Entry 2:
Structure and calculated PXRD pattern of Li6Hg2O7 (a cell relaxed with GGA-PBE; λ = 1.5418 Å (Cu Kα)).

Peak list (10 most intense, 2θ from 10° to 90°, by angle)
2θ (°), I_rel, hkl
15.69, 1000, 0 0 1
17.05, 496, 1 0 0
22.15, 240, 1 1 0
23.69, 319, 1 0 1
26.78, 205, 1 -1 0
27.53, 224, -1 1 1
30.26, 235, 1 1 -1
40.45, 212, 1 2 2
41.91, 190, 2 -1 0
43.38, 173, 1 1 -2

a = 5.294 Å, b = 5.461 Å, c = 6.007 Å
α = 70.24°, β = 88.46°, γ = 79.46°
Space group P-1 (No. 2)
Unique sites:
Li: 0.081 0.277 0.440 x2
Li: 0.368 0.722 0.834 x2
Li: 0.376 0.715 0.307 x2
Hg: 0.128 0.252 0.934 x2
O: 0.001 0.019 0.261 x2
O: 0.262 0.477 0.620 x2
O: 0.263 0.481 0.150 x2
O: 0.500 0.000 0.000 x1

---

Entry 3:
Structure and calculated PXRD pattern of Ta3Bi5Au (a cell relaxed with GGA-PBE; λ = 1.5418 Å (Cu Kα)).

Peak list (10 most intense, 2θ from 10° to 90°, by angle)
2θ (°), I_rel, hkl
10.18, 309, 0 0 1
27.19, 616, 1 0 2
30.86, 286, 0 0 3
30.99, 728, 1 1 0
35.82, 196, 1 0 3
37.43, 528, 2 0 1
41.69, 1000, 2 0 2
52.84, 207, 2 1 2
64.58, 293, 2 2 0
79.75, 259, 2 2 4

a = 5.7722 Å, b = 5.7722 Å, c = 8.6921 Å
α = 90.00°, β = 90.00°, γ = 120.00°
Space group P6/mmm (No. 191)
Unique sites:
Ta: 0.0000 0.5000 0.0000 x3
Bi: 0.0000 0.0000 0.0000 x1
Bi: 0.3333 0.6667 0.2925 x4
Au: 0.0000 0.0000 0.5000 x1

---

Entry 4:
Structure and calculated PXRD pattern of Y3Ni4B4N3 (a cell relaxed with GGA-PBE; λ = 1.5418 Å (Cu Kα)).

Peak list (10 most intense, 2θ from 10° to 90°, by angle)
2θ (°), I_rel, hkl
27.58, 550, 1 0 3
35.30, 664, 0 0 10
35.63, 461, 1 0 7
39.07, 1000, 1 1 4
42.30, 712, 1 1 6
52.30, 504, 2 0 0
63.55, 278, 1 1 14
64.68, 412, 2 0 10
64.89, 159, 2 1 7
87.75, 171, 2 2 10

a = 3.499 Å, b = 3.499 Å, c = 25.428 Å
α = 90.00°, β = 90.00°, γ = 90.00°
Space group I4/mmm (No. 139)
Unique sites:
Y: 0.000 0.000 0.000 x2
Y: 0.000 0.000 0.300 x4
Ni: 0.000 0.500 0.102 x8
B: 0.000 0.000 0.150 x4
B: 0.000 0.000 0.443 x4
N: 0.000 0.000 0.207 x4
N: 0.000 0.000 0.500 x2

---

Entry 5:
Structure and calculated PXRD pattern of Cu11Ag9 (a cell relaxed with GGA-PBE; λ = 1.5418 Å (Cu Kα)).

Peak list (10 most intense, 2θ from 10° to 90°, by angle)
2θ (°), I_rel, hkl
40.20, 1000, 1 0 -3
40.27, 499, 0 3 -1
40.46, 503, 2 -1 1
46.53, 328, 2 2 0
46.65, 316, 1 -1 4
47.39, 293, -1 3 2
68.42, 175, 1 5 2
81.88, 109, 2 5 -1
82.03, 159, 3 2 -3
82.26, 109, 4 1 1

a = 4.751 Å, b = 7.230 Å, c = 8.703 Å
α = 83.46°, β = 79.15°, γ = 89.05°
Space group P1 (No. 1)
Unique sites:
Cu: 0.000 0.000 0.000 x1
Cu: 0.023 0.443 0.355 x1
Cu: 0.060 0.920 0.714 x1
Cu: 0.235 0.242 0.756 x1
Cu: 0.276 0.699 0.110 x1
Cu: 0.488 0.492 0.503 x1
Cu: 0.515 0.957 0.845 x1
Cu: 0.569 0.406 0.216 x1
Cu: 0.635 0.865 0.564 x1
Cu: 0.772 0.193 0.604 x1
Cu: 0.870 0.107 0.313 x1
Ag: 0.119 0.353 0.065 x1
Ag: 0.186 0.801 0.419 x1
Ag: 0.323 0.160 0.462 x1
Ag: 0.367 0.613 0.796 x1
Ag: 0.436 0.044 0.153 x1
Ag: 0.684 0.291 0.900 x1
Ag: 0.743 0.747 0.266 x1
Ag: 0.812 0.667 0.958 x1
Ag: 0.926 0.539 0.645 x1

---

Entry 6:
Structure and calculated PXRD pattern of GdYZn6 (a cell relaxed with GGA-PBE; λ = 1.5418 Å (Cu Kα)).

Peak list (10 most intense, 2θ from 10° to 90°, by angle)
2θ (°), I_rel, hkl
13.37, 18, 0 0 1
18.94, 17, 1 0 0
23.25, 57, 1 0 1
26.92, 30, 1 1 0
38.43, 1000, 2 0 0
45.40, 29, 2 1 1
55.48, 166, 2 2 0
60.96, 13, 3 0 1
69.51, 327, 3 1 2
82.33, 101, 4 0 0

a = 4.685 Å, b = 4.685 Å, c = 6.623 Å
α = 90.00°, β = 90.00°, γ = 90.00°
Space group P4/mmm (No. 123)
Unique sites:
Gd: 0.000 0.000 0.000 x1
Y: 0.500 0.500 0.500 x1
Zn: 0.000 0.000 0.500 x1
Zn: 0.000 0.500 0.250 x4
Zn: 0.500 0.500 0.000 x1

---

Entry 7:
Structure and calculated PXRD pattern of Al2Tl6Pt (a cell relaxed with GGA-PBE; λ = 1.5418 Å (Cu Kα)).

Peak list (10 most intense, 2θ from 10° to 90°, by angle)
2θ (°), I_rel, hkl
12.33, 302, 1 0 0
32.14, 1000, 1 1 1
33.00, 437, 2 1 0
34.54, 495, 2 0 1
37.57, 366, 3 0 0
41.01, 198, 2 1 1
48.41, 144, 0 0 2
59.84, 164, 2 1 2
61.44, 297, 3 2 1
62.85, 166, 3 0 2

a = 8.2922 Å, b = 8.2922 Å, c = 3.7602 Å
α = 90.00°, β = 90.00°, γ = 120.00°
Space group P-62m (No. 189)
Unique sites:
Al: 0.3333 0.6667 0.0000 x2
Tl: 0.0000 0.2620 0.0000 x3
Tl: 0.0000 0.6107 0.5000 x3
Pt: 0.0000 0.0000 0.5000 x1

---

Entry 8:
Structure and calculated PXRD pattern of InCuSiS3 (a cell relaxed with GGA-PBE; λ = 1.5418 Å (Cu Kα)).

Peak list (10 most intense, 2θ from 10° to 90°, by angle)
2θ (°), I_rel, hkl
17.69, 548, 0 0 2
22.52, 376, 0 2 2
33.93, 1000, 1 3 0
35.13, 402, 1 3 1
35.83, 599, 0 0 4
38.52, 282, 1 3 2
43.29, 301, 0 6 1
48.19, 174, 1 5 2
50.17, 592, 1 3 4
67.05, 173, 2 0 4

a = 3.361 Å, b = 12.821 Å, c = 10.026 Å
α = 90.00°, β = 90.00°, γ = 90.00°
Space group Cmcm (No. 63)
Unique sites:
In: 0.000 0.196 0.250 x4
Cu: 0.000 0.132 0.750 x4
Si: 0.000 0.500 0.000 x4
S: 0.000 0.123 0.519 x8
S: 0.000 0.480 0.750 x4

---

Entry 9:
Structure and calculated PXRD pattern of Pr3Si4Ag2Pd2 (a cell relaxed with GGA-PBE; λ = 1.5418 Å (Cu Kα)).

Peak list (10 most intense, 2θ from 10° to 90°, by angle)
2θ (°), I_rel, hkl
23.45, 140, 0 1 3
32.69, 357, 1 0 7
33.09, 1000, 1 1 4
42.51, 194, 0 2 0
42.76, 191, 2 0 0
45.02, 191, 0 1 11
54.65, 136, 1 2 7
61.88, 125, 2 2 0
63.82, 111, 2 1 11
71.82, 102, 1 3 4

a = 4.230 Å, b = 4.253 Å, c = 25.151 Å
α = 90.00°, β = 90.00°, γ = 90.00°
Space group Immm (No. 71)
Unique sites:
Pr: 0.000 0.000 0.000 x2
Pr: 0.000 0.500 0.146 x4
Si: 0.000 0.000 0.453 x4
Si: 0.000 0.500 0.312 x4
Ag: 0.000 0.000 0.249 x4
Pd: 0.000 0.500 0.407 x4

---

Entry 10:
Structure and calculated PXRD pattern of Tb2NdCu4Si4 (a cell relaxed with GGA-PBE; λ = 1.5418 Å (Cu Kα)).

Peak list (10 most intense, 2θ from 10° to 90°, by angle)
2θ (°), I_rel, hkl
23.45, 210, 0 1 3
28.37, 185, 1 1 2
35.13, 1000, 1 2 1
36.32, 861, 1 1 4
38.98, 193, 0 0 6
39.81, 183, 1 2 3
43.42, 291, 2 0 0
45.42, 310, 0 3 3
58.60, 156, 1 2 7
64.65, 209, 2 3 3

a = 4.168 Å, b = 6.643 Å, c = 13.868 Å
α = 90.00°, β = 90.00°, γ = 90.00°
Space group Immm (No. 71)
Unique sites:
Tb: 0.000 0.000 0.130 x4
Nd: 0.000 0.500 0.000 x2
Cu: 0.000 0.190 0.331 x8
Si: 0.000 0.319 0.500 x4
Si: 0.000 0.500 0.218 x4

---

Entry 11:
Structure and calculated PXRD pattern of Ni9Sn2 (a cell relaxed with GGA-PBE; λ = 1.5418 Å (Cu Kα)).

Peak list (10 most intense, 2θ from 10° to 90°, by angle)
2θ (°), I_rel, hkl
10.89, 159, 0 0 4
13.62, 228, 0 0 5
40.73, 551, 1 0 5
41.81, 1000, 1 0 6
47.55, 216, 0 0 17
49.47, 552, 0 1 11
51.40, 280, 0 1 12
69.05, 296, 1 1 0
84.05, 185, 0 2 6
88.13, 211, 1 1 17

a = 2.7208 Å, b = 2.7208 Å, c = 32.5063 Å
α = 90.00°, β = 90.00°, γ = 120.00°
Space group P-3m1 (No. 164)
Unique sites:
Ni: 0.0000 0.0000 0.0000 x1
Ni: 0.0000 0.0000 0.1722 x2
Ni: 0.3333 0.6667 0.1142 x2
Ni: 0.3333 0.6667 0.7695 x2
Ni: 0.3333 0.6667 0.9432 x2
Sn: 0.3333 0.6667 0.2990 x2

---

Entry 12:
Structure and calculated PXRD pattern of AsIr7 (a cell relaxed with GGA-PBE; λ = 1.5418 Å (Cu Kα)).

Peak list (10 most intense, 2θ from 10° to 90°, by angle)
2θ (°), I_rel, hkl
40.12, 1000, 1 0 11
41.44, 301, 1 0 12
46.57, 462, 1 1 0
46.88, 141, 0 0 22
67.97, 151, 2 0 0
68.21, 195, 1 1 22
70.02, 100, 1 1 23
81.95, 261, 2 1 11
82.43, 91, 1 0 33
86.63, 101, 2 0 22

a = 2.759 Å, b = 2.759 Å, c = 42.635 Å
α = 90.00°, β = 90.00°, γ = 90.00°
Space group P4/nmm (No. 129, origin choice 2)
Unique sites:
As: 0.250 0.250 0.167 x2
Ir: 0.250 0.250 0.254 x2
Ir: 0.250 0.250 0.343 x2
Ir: 0.250 0.250 0.433 x2
Ir: 0.250 0.250 0.522 x2
Ir: 0.250 0.250 0.612 x2
Ir: 0.250 0.250 0.702 x2
Ir: 0.250 0.250 0.793 x2

---

> Which formula does entry 5 have?

Cu11Ag9